This entry pairs a crystal structure of K3Nb3Ge2O13 with its theoretical powder X-ray diffraction pattern. Radiation: Cu Kα. Structure: the GGA-PBE geometry in Alexandria.

Cell: 9.4247 9.4247 7.9070 Å, 90.00 90.00 120.00°
Space group P-62m (No. 189)
Unique sites:
K 0.0000 0.6060 0.0000 [3 per cell]
K 0.0000 0.6089 0.5000 [3 per cell]
Nb 0.0000 0.2322 0.2495 [6 per cell]
Ge 0.3333 0.6667 0.2758 [4 per cell]
O 0.0000 0.2100 0.0000 [3 per cell]
O 0.0000 0.2755 0.5000 [3 per cell]
O 0.0000 0.8282 0.2764 [6 per cell]
O 0.1781 0.4744 0.2108 [12 per cell]
O 0.3333 0.6667 0.5000 [2 per cell]

Principal peaks in the range 2θ from 10° to 90°, sorted by position:
2θ/deg  I_rel
18.83  26
21.78  24
22.49  47
28.94  100
29.49  76
31.51  39
36.96  28
51.30  25
55.19  33
56.68  30